Computed powder X-ray diffraction pattern
Compound: NaCoRhCl6
Radiation: Cu Kα (λ = 1.5418 Å)
Structure: a GGA-PBE-relaxed structure
Kinematic intensities with the Lorentz-polarization factor, no thermal factor.

Cell and atoms:
Unit cell a=6.1408 b=6.1408 c=6.1864 alpha=90.00 beta=90.00 gamma=120.00
Space group P312 (No. 149)
Symmetry-distinct sites (fractional):
1 Na 0.0000 0.0000 0.0000
2 Co 0.3333 0.6667 0.5000
3 Rh 0.6667 0.3333 0.5000
4 Cl 0.0034 0.3648 0.7115

Main lines, sorted by position (2θ = 5–70°):
2theta, I (rel.), h k l
14.3, 100, 0 0 1
16.7, 43, 1 0 0
22.0, 79, 1 0 1
32.6, 90, 2 -1 1
41.4, 87, 2 -1 2
47.6, 21, 3 -1 1
51.6, 36, 3 0 0
53.5, 28, 1 1 3
53.8, 16, 3 0 1
68.2, 16, 2 2 2



Computed powder X-ray diffraction pattern
Compound: NaTlCo2Cl6
Radiation: Cu Kα (λ = 1.5418 Å)
Structure: a GGA-PBE-relaxed structure
Kinematic intensities with the Lorentz-polarization factor, no thermal factor.

Cell and atoms:
Unit cell a=13.9451 b=13.3850 c=6.9250 alpha=90.00 beta=110.07 gamma=90.00
Space group C2/c (No. 15)
Symmetry-distinct sites (fractional):
1 Na 0.0000 0.2259 0.2500
2 Tl 0.0000 0.3980 0.7500
3 Co 0.2040 0.0758 0.6316
4 Cl 0.1150 0.2106 0.6559
5 Cl 0.1266 0.4009 0.2311
6 Cl 0.1567 0.0584 0.2799

Main lines, sorted by position (2θ = 5–70°):
2theta, I (rel.), h k l
9.4, 67, 1 1 0
18.4, 38, 1 1 1
20.5, 100, 2 2 -1
21.4, 75, 3 1 0
26.7, 41, 1 1 -2
27.4, 40, 0 0 2
28.5, 59, 3 3 -1
34.8, 23, 2 0 2
38.1, 25, 5 3 -1
44.7, 31, 3 3 -3



Computed powder X-ray diffraction pattern
Compound: NaTl3Co2Cl8
Radiation: Cu Kα (λ = 1.5418 Å)
Structure: a GGA-PBE-relaxed structure
Kinematic intensities with the Lorentz-polarization factor, no thermal factor.

Cell and atoms:
Unit cell a=7.2777 b=7.2777 c=9.0335 alpha=90.00 beta=90.00 gamma=120.00
Space group P-3m1 (No. 164)
Symmetry-distinct sites (fractional):
1 Na 0.0000 0.0000 0.0000
2 Tl 0.0000 0.0000 0.5000
3 Tl 0.3333 0.6667 0.1356
4 Co 0.3333 0.6667 0.7081
5 Cl 0.1677 0.3355 0.8031
6 Cl 0.3333 0.6667 0.4628

Main lines, sorted by position (2θ = 5–70°):
2theta, I (rel.), h k l
17.2, 54, 1 0 1
24.2, 60, 0 1 2
24.5, 100, 1 1 0
30.0, 44, 0 2 1
33.0, 20, 1 0 3
34.7, 53, 2 0 2
42.9, 28, 1 2 2
43.1, 22, 3 0 0
50.1, 26, 2 2 0
68.1, 19, 4 1 0



Computed powder X-ray diffraction pattern
Compound: Nd2CoCl
Radiation: Cu Kα (λ = 1.5418 Å)
Structure: a GGA-PBE-relaxed structure
Kinematic intensities with the Lorentz-polarization factor, no thermal factor.

Cell and atoms:
Unit cell a=3.9409 b=3.9409 c=15.2177 alpha=90.00 beta=90.00 gamma=120.00
Space group P6_3/mmc (No. 194)
Symmetry-distinct sites (fractional):
1 Nd 0.3333 0.6667 0.1004
2 Co 0.0000 0.0000 0.0000
3 Cl 0.3333 0.6667 0.7500

Main lines, sorted by position (2θ = 5–70°):
2theta, I (rel.), h k l
11.6, 30, 0 0 2
26.1, 11, 1 0 0
26.8, 28, 1 0 1
31.6, 100, 1 0 3
35.3, 34, 0 0 6
44.5, 20, 1 0 6
46.1, 36, 1 1 0
49.7, 17, 1 0 7
56.9, 18, 2 0 3
59.4, 15, 1 1 6